For TaCo3, a crystal structure in Alexandria, relaxed with GGA-PBE gives the computed powder diffractogram in this record (Cu Kα X-rays).

Crystal structure
a b c (Å): 5.1590 5.1590 18.7537
angles (deg): 90.00 90.00 120.00
Space group R-3m (No. 166, hexagonal axes)
Inequivalent atoms, fractional coordinates:
Ta 0.0000 0.0000 0.0000 (multiplicity 3)
Ta 0.0000 0.0000 0.2187 (multiplicity 6)
Co 0.0000 0.5000 0.0000 (multiplicity 9)
Co 0.0186 0.5093 0.2232 (multiplicity 18)

Largest 6 diffraction maxima, low angle first, 10° ≤ 2θ ≤ 90°:
- 31.13°, I = 39, (0 1 5)
- 40.67°, I = 40, (0 2 1)
- 43.43°, I = 53, (0 0 9)
- 44.95°, I = 100, (0 2 4)
- 47.37°, I = 92, (2 0 5)
- 89.33°, I = 39, (2 2 9)

For Ta3Co5, a crystal structure in Alexandria, relaxed with GGA-PBE gives the computed powder diffractogram in this record (Cu Kα X-rays).

Crystal structure
a b c (Å): 8.2204 6.0988 8.4143
angles (deg): 90.00 90.00 90.00
Space group Cmcm (No. 63)
Inequivalent atoms, fractional coordinates:
Ta 0.0000 0.1010 0.2500 (multiplicity 4)
Ta 0.2115 0.5000 0.0000 (multiplicity 8)
Co 0.0000 0.2007 0.5435 (multiplicity 8)
Co 0.0000 0.4983 0.7500 (multiplicity 4)
Co 0.2209 0.2304 0.7500 (multiplicity 8)

Largest 6 diffraction maxima, low angle first, 10° ≤ 2θ ≤ 90°:
- 30.40°, I = 35, (2 0 2)
- 35.93°, I = 25, (3 1 0)
- 36.39°, I = 15, (0 2 2)
- 42.72°, I = 100, (2 2 2)
- 43.00°, I = 38, (0 0 4)
- 44.06°, I = 25, (4 0 0)